For USn2S5, a crystal structure in Alexandria, relaxed with GGA-PBE gives the theoretical X-ray powder pattern in this record (copper Kα).
Intensities are scaled so that the largest is 1000.

```
USn2S5
1.0
7.2331 -3.5055 0.0000
7.2331 3.5055 0.0000
-4.2177 0.0000 8.8843
U Sn S
2 4 10
direct
0.0000 0.0000 0.0000
0.0000 0.0000 0.5000
0.3588 0.4055 0.7847
0.4055 0.3588 0.2847
0.5945 0.6412 0.7153
0.6412 0.5945 0.2153
0.0295 0.3197 0.1452
0.1485 0.8515 0.2500
0.2398 0.6094 0.5407
0.3197 0.0295 0.6452
0.3906 0.7602 0.9593
0.6094 0.2398 0.0407
0.6803 0.9705 0.3548
0.7602 0.3906 0.4593
0.8515 0.1485 0.7500
0.9705 0.6803 0.8548
```

Largest 6 diffraction maxima, low angle first, 15 to 90 degrees two-theta:
Position (°2θ)  d [Å]  I/Imax
18.73  4.738  628
22.15  4.013  690
24.05  3.700  687
26.99  3.303  581
36.69  2.449  1000
45.77  1.983  641

=====

For CsPb6Au, a crystal structure in Alexandria, relaxed with GGA-PBE gives the theoretical X-ray powder pattern in this record (copper Kα).
Intensities are scaled so that the largest is 1000.

```
CsPb6Au
1.0
5.0691 0.0000 0.0000
0.0000 5.0691 0.0000
0.0000 0.0000 11.0079
Cs Pb Au
1 6 1
direct
0.0000 0.0000 0.0000
0.0000 0.5000 0.3388
0.0000 0.5000 0.6612
0.5000 0.0000 0.3388
0.5000 0.0000 0.6612
0.5000 0.5000 0.1555
0.5000 0.5000 0.8445
0.0000 0.0000 0.5000
```

Largest 6 diffraction maxima, low angle first, 15 to 90 degrees two-theta:
Position (°2θ)  d [Å]  I/Imax
23.86  3.729  369
26.15  3.408  449
29.74  3.004  264
35.00  2.564  1000
35.42  2.535  711
63.31  1.469  374

=====

For Cr4Ni5Ir2, a crystal structure in Alexandria, relaxed with GGA-PBE gives the theoretical X-ray powder pattern in this record (copper Kα).
Intensities are scaled so that the largest is 1000.

```
Cr4Ni5Ir2
1.0
4.6081 0.0000 0.0000
-0.9376 4.8588 0.0000
-1.0071 -1.8913 5.9661
Cr Ni Ir
4 5 2
direct
0.0000 0.0000 0.0000
0.0488 0.4129 0.8586
0.7030 0.3599 0.5269
0.8955 0.6099 0.1956
0.1776 0.7051 0.5827
0.3752 0.4530 0.2252
0.4925 0.1442 0.8600
0.5684 0.6138 0.8347
0.7171 0.8714 0.5784
0.1335 0.1452 0.4501
0.5185 0.9554 0.1906
```

Largest 6 diffraction maxima, low angle first, 15 to 90 degrees two-theta:
Position (°2θ)  d [Å]  I/Imax
20.41  4.350  532
40.02  2.253  598
44.90  2.019  671
45.22  2.005  631
45.62  1.989  1000
46.17  1.966  586

=====

For Tb4Nd2Te3N2, a crystal structure in Alexandria, relaxed with GGA-PBE gives the theoretical X-ray powder pattern in this record (copper Kα).
Intensities are scaled so that the largest is 1000.

```
Tb4Nd2Te3N2
1.0
-2.3136 2.3136 12.9881
2.3136 -2.3136 12.9881
2.3136 2.3136 -12.9881
Tb Nd Te N
4 2 3 2
direct
0.0849 0.5849 0.5000
0.4151 0.9151 0.5000
0.5849 0.0849 0.5000
0.9151 0.4151 0.5000
0.1962 0.1962 0.0000
0.8038 0.8038 0.0000
0.3246 0.3246 0.0000
0.5000 0.5000 0.0000
0.6754 0.6754 0.0000
0.1018 0.1018 0.0000
0.8982 0.8982 0.0000
```

Largest 6 diffraction maxima, low angle first, 15 to 90 degrees two-theta:
Position (°2θ)  d [Å]  I/Imax
28.13  3.173  417
30.60  2.922  205
34.36  2.610  1000
38.93  2.314  514
56.23  1.636  175
67.58  1.386  282

=====

For CdTe, a crystal structure in Alexandria, relaxed with GGA-PBE gives the theoretical X-ray powder pattern in this record (copper Kα).
Intensities are scaled so that the largest is 1000.

```
CdTe
1.0
4.6154 0.0000 0.0000
-2.3077 3.9970 0.0000
0.0000 0.0000 10.4731
Cd Te
3 3
direct
0.0000 0.4985 0.1667
0.4985 0.0000 0.8333
0.5015 0.5015 0.5000
0.0000 0.4994 0.6667
0.4994 0.0000 0.3333
0.5006 0.5006 0.0000
```

Largest 6 diffraction maxima, low angle first, 15 to 90 degrees two-theta:
Position (°2θ)  d [Å]  I/Imax
22.24  3.997  224
28.08  3.177  1000
41.22  2.190  351
42.82  2.112  314
45.38  1.999  298
64.16  1.452  183

=====

For Zr2InSi2Ru5, a crystal structure in Alexandria, relaxed with GGA-PBE gives the theoretical X-ray powder pattern in this record (copper Kα).
Intensities are scaled so that the largest is 1000.

```
Zr2InSi2Ru5
1.0
9.8259 0.0000 0.0000
0.0000 9.8259 0.0000
0.0000 0.0000 3.3014
Zr In Si Ru
4 2 4 10
direct
0.1743 0.3257 0.0000
0.3257 0.8257 0.0000
0.6743 0.1743 0.0000
0.8257 0.6743 0.0000
0.0000 0.0000 0.0000
0.5000 0.5000 0.0000
0.1246 0.6246 0.0000
0.3754 0.1246 0.0000
0.6246 0.8754 0.0000
0.8754 0.3754 0.0000
0.0000 0.5000 0.5000
0.0689 0.7863 0.5000
0.2137 0.0689 0.5000
0.2863 0.5689 0.5000
0.4311 0.2863 0.5000
0.5000 0.0000 0.5000
0.5689 0.7137 0.5000
0.7137 0.4311 0.5000
0.7863 0.9311 0.5000
0.9311 0.2137 0.5000
```

Largest 6 diffraction maxima, low angle first, 15 to 90 degrees two-theta:
Position (°2θ)  d [Å]  I/Imax
33.96  2.639  356
37.58  2.393  307
37.75  2.383  544
39.84  2.263  1000
41.08  2.197  320
43.04  2.102  306

=====

For Ac4ZnSn8, a crystal structure in Alexandria, relaxed with GGA-PBE gives the theoretical X-ray powder pattern in this record (copper Kα).
Intensities are scaled so that the largest is 1000.

```
Ac4ZnSn8
1.0
4.5688 0.0000 0.0000
0.0000 4.7308 0.0000
0.0000 0.0000 18.7982
Ac Zn Sn
4 1 8
direct
0.0000 0.0000 0.0000
0.0000 0.5000 0.4903
0.5000 0.0000 0.7881
0.5000 0.5000 0.2837
0.0000 0.5000 0.7164
0.0000 0.0000 0.3346
0.0000 0.0000 0.6324
0.0000 0.5000 0.1379
0.0000 0.5000 0.8570
0.5000 0.0000 0.1455
0.5000 0.0000 0.4364
0.5000 0.5000 0.6323
0.5000 0.5000 0.9563
```

Largest 6 diffraction maxima, low angle first, 15 to 90 degrees two-theta:
Position (°2θ)  d [Å]  I/Imax
28.49  3.133  142
30.37  2.943  162
30.72  2.910  1000
34.72  2.584  140
38.04  2.365  188
39.45  2.284  170

=====

For BaNaSnPb, a crystal structure in Alexandria, relaxed with GGA-PBE gives the theoretical X-ray powder pattern in this record (copper Kα).
Intensities are scaled so that the largest is 1000.

```
BaNaSnPb
1.0
4.4665 -2.8977 0.0000
4.4665 2.8977 0.0000
-3.5841 0.0000 5.4140
Ba Na Sn Pb
1 1 1 1
direct
0.0000 0.0000 0.0000
0.2374 0.2374 0.6733
0.7839 0.7839 0.3181
0.4984 0.4984 0.4559
```

Largest 6 diffraction maxima, low angle first, 15 to 90 degrees two-theta:
Position (°2θ)  d [Å]  I/Imax
20.74  4.282  471
28.08  3.177  555
29.53  3.025  1000
30.86  2.898  522
34.02  2.635  800
42.21  2.141  375

=====

For Li3GaN2, a crystal structure in Alexandria, relaxed with GGA-PBE gives the theoretical X-ray powder pattern in this record (copper Kα).
Intensities are scaled so that the largest is 1000.

```
Li3GaN2
1.0
-4.8377 4.8377 4.8377
4.8377 -4.8377 4.8377
4.8377 4.8377 -4.8377
Li Ga N
24 8 16
direct
0.0079 0.5320 0.7689
0.0242 0.7631 0.0320
0.0320 0.0242 0.7631
0.2311 0.9921 0.4680
0.2369 0.9680 0.9758
0.2390 0.7311 0.2631
0.2610 0.5242 0.4921
0.2631 0.2390 0.7311
0.2689 0.7369 0.7610
0.4680 0.2311 0.9921
0.4758 0.5079 0.7390
0.4921 0.2610 0.5242
0.5079 0.7390 0.4758
0.5242 0.4921 0.2610
0.5320 0.7689 0.0079
0.7311 0.2631 0.2390
0.7369 0.7610 0.2689
0.7390 0.4758 0.5079
0.7610 0.2689 0.7369
0.7631 0.0320 0.0242
0.7689 0.0079 0.5320
0.9680 0.9758 0.2369
0.9758 0.2369 0.9680
0.9921 0.4680 0.2311
0.0000 0.2642 0.5000
0.0000 0.7358 0.5000
0.2358 0.2358 0.2358
0.2642 0.5000 0.0000
0.5000 0.0000 0.2642
0.5000 0.0000 0.7358
0.7358 0.5000 0.0000
0.7642 0.7642 0.7642
0.0000 0.0000 0.0000
0.0000 0.5000 0.5000
0.0228 0.2728 0.7500
0.2272 0.2500 0.4772
0.2500 0.4772 0.2272
0.2500 0.9772 0.7272
0.2728 0.7500 0.0228
0.4772 0.2272 0.2500
0.5000 0.0000 0.5000
0.5000 0.5000 0.0000
0.5228 0.7728 0.7500
0.7272 0.2500 0.9772
0.7500 0.0228 0.2728
0.7500 0.5228 0.7728
0.7728 0.7500 0.5228
0.9772 0.7272 0.2500
```

Largest 6 diffraction maxima, low angle first, 15 to 90 degrees two-theta:
Position (°2θ)  d [Å]  I/Imax
22.51  3.950  1000
34.69  2.586  596
37.17  2.419  207
43.89  2.063  184
53.58  1.710  416
58.83  1.570  196

=====

For K2CuAsCl6, a crystal structure in Alexandria, relaxed with GGA-PBE gives the theoretical X-ray powder pattern in this record (copper Kα).
Intensities are scaled so that the largest is 1000.

```
K2CuAsCl6
1.0
7.0173 0.0000 0.0000
-2.7912 6.5509 0.0000
-2.8470 -2.7306 6.0263
K Cu As Cl
2 1 1 6
direct
0.0000 0.0000 0.0000
0.0935 0.5034 0.5837
0.4305 0.1504 0.7603
0.5694 0.7706 0.2908
0.0597 0.0377 0.4589
0.1518 0.5517 0.1550
0.4492 0.9814 0.0063
0.5517 0.5190 0.9728
0.6522 0.5804 0.5128
0.6550 0.0909 0.6169
```

Largest 6 diffraction maxima, low angle first, 15 to 90 degrees two-theta:
Position (°2θ)  d [Å]  I/Imax
16.05  5.521  1000
22.78  3.903  767
24.96  3.567  423
27.72  3.218  474
32.36  2.766  637
39.67  2.272  527

=====

For Cd4BiPb2, a crystal structure in Alexandria, relaxed with GGA-PBE gives the theoretical X-ray powder pattern in this record (copper Kα).
Intensities are scaled so that the largest is 1000.

```
Cd4BiPb2
1.0
5.3182 -2.9882 0.0000
5.3182 2.9882 0.0000
0.0000 0.0000 12.0305
Cd Bi Pb
8 2 4
direct
0.1197 0.3803 0.7500
0.1254 0.8746 0.7597
0.3746 0.6254 0.2597
0.3803 0.1197 0.2500
0.6197 0.8803 0.7500
0.6254 0.3746 0.7403
0.8746 0.1254 0.2403
0.8803 0.6197 0.2500
0.0000 0.0000 0.5000
0.5000 0.5000 0.0000
0.1641 0.1641 0.0000
0.3359 0.3359 0.5000
0.6641 0.6641 0.5000
0.8359 0.8359 0.0000
```

Largest 6 diffraction maxima, low angle first, 15 to 90 degrees two-theta:
Position (°2θ)  d [Å]  I/Imax
29.70  3.008  821
29.90  2.988  252
30.24  2.956  1000
33.48  2.676  420
35.25  2.546  386
37.02  2.428  854

=====

For HfTiGa, a crystal structure in Alexandria, relaxed with GGA-PBE gives the theoretical X-ray powder pattern in this record (copper Kα).
Intensities are scaled so that the largest is 1000.

```
HfTiGa
1.0
7.5176 0.0000 0.0000
-3.7588 6.5104 0.0000
0.0000 0.0000 6.8368
Hf Ti Ga
6 6 6
direct
0.0000 0.2766 0.0000
0.0000 0.2766 0.5000
0.2766 0.0000 0.0000
0.2766 0.0000 0.5000
0.7234 0.7234 0.0000
0.7234 0.7234 0.5000
0.0109 0.6134 0.2500
0.3866 0.3975 0.2500
0.3975 0.3866 0.7500
0.6025 0.9891 0.2500
0.6134 0.0109 0.7500
0.9891 0.6025 0.7500
0.0000 0.0000 0.2500
0.0000 0.0000 0.7500
0.3333 0.6667 0.5146
0.3333 0.6667 0.9854
0.6667 0.3333 0.0146
0.6667 0.3333 0.4854
```

Largest 6 diffraction maxima, low angle first, 15 to 90 degrees two-theta:
Position (°2θ)  d [Å]  I/Imax
23.67  3.759  479
35.50  2.529  1000
36.52  2.461  420
38.18  2.357  416
41.62  2.170  511
45.41  1.997  407